Structure and simulated X-ray powder pattern of Pr3Sn2Pd6 (a cell relaxed with GGA-PBE; Cu Kα X-rays).
No peak broadening, texture or thermal motion is included.

Crystal structure
abc: 9.8292 9.8292 9.8292
angles: 90.00 90.00 90.00
Space group Im-3m (No. 229)
Inequivalent atoms, fractional coordinates:
Pr  0.0000  0.0000  0.2883
Sn  0.2500  0.2500  0.2500
Pd  0.0000  0.3393  0.3393

Largest 10 diffraction maxima, low angle first, 10 to 90 degrees two-theta:
index  2θ (°)  d (Å)  Rel. int.
1 1 0  12.74  6.950  14
3 1 0  28.72  3.108  15
2 2 2  31.53  2.837  28
3 2 1  34.13  2.627  28
4 0 0  36.57  2.457  17
3 3 0  38.87  2.317  100
4 2 0  41.07  2.198  17
5 3 2  57.83  1.595  14
6 2 2  62.70  1.482  20
6 3 3  70.39  1.338  26

***

Structure and simulated X-ray powder pattern of Pr2SmH8 (a cell relaxed with GGA-PBE; Cu Kα X-rays).
No peak broadening, texture or thermal motion is included.

Crystal structure
abc: 3.8515 5.3848 11.5352
angles: 90.00 90.00 90.00
Space group Immm (No. 71)
Inequivalent atoms, fractional coordinates:
Pr  0.0000  0.0000  0.1689
Sm  0.0000  0.0000  0.5000
H  0.0000  0.2389  0.0000
H  0.0000  0.2575  0.3426
H  0.0000  0.5000  0.1610

Largest 10 diffraction maxima, low angle first, 10 to 90 degrees two-theta:
index  2θ (°)  d (Å)  Rel. int.
1 1 0  28.51  3.131  100
1 0 3  32.92  2.721  34
0 2 0  33.28  2.692  16
2 0 0  47.24  1.924  13
1 2 3  47.51  1.914  26
2 1 3  56.10  1.639  30
1 3 0  56.58  1.627  15
2 2 0  59.00  1.565  13
2 3 3  76.72  1.242  12
2 2 6  78.82  1.214  6

***

Structure and simulated X-ray powder pattern of Ca4ErS5 (a cell relaxed with GGA-PBE; Cu Kα X-rays).
No peak broadening, texture or thermal motion is included.

Crystal structure
abc: 3.9876 3.9876 28.3300
angles: 90.00 90.00 90.00
Space group I4/mmm (No. 139)
Inequivalent atoms, fractional coordinates:
Ca  0.0000  0.0000  0.0992
Ca  0.0000  0.0000  0.3005
Er  0.0000  0.0000  0.5000
S  0.0000  0.0000  0.0000
S  0.0000  0.0000  0.1994
S  0.0000  0.0000  0.4029

Largest 10 diffraction maxima, low angle first, 10 to 90 degrees two-theta:
index  2θ (°)  d (Å)  Rel. int.
0 0 4  12.50  7.082  26
1 0 1  22.52  3.949  28
1 0 3  24.23  3.674  24
1 0 5  27.35  3.261  32
0 0 10  31.57  2.834  61
1 1 0  31.73  2.820  100
1 1 10  45.38  1.998  69
2 0 0  45.49  1.994  34
2 0 10  56.43  1.631  39
3 1 10  84.01  1.152  22

***

Structure and simulated X-ray powder pattern of Cs2Tl6CdPt (a cell relaxed with GGA-PBE; Cu Kα X-rays).
No peak broadening, texture or thermal motion is included.

Crystal structure
abc: 8.6911 8.6911 36.3407
angles: 90.00 90.00 120.00
Space group R-3m (No. 166, hexagonal axes)
Inequivalent atoms, fractional coordinates:
Cs  0.0000  0.0000  0.1447
Cs  0.0000  0.0000  0.2859
Tl  0.0505  0.5253  0.1165
Tl  0.0580  0.5290  0.7177
Cd  0.0000  0.0000  0.3837
Pt  0.0000  0.0000  0.0000
Pt  0.0000  0.0000  0.5000

Largest 10 diffraction maxima, low angle first, 10 to 90 degrees two-theta:
index  2θ (°)  d (Å)  Rel. int.
0 1 2  12.73  6.954  96
2 0 5  26.67  3.342  100
0 2 7  29.31  3.047  78
0 0 12  29.50  3.028  27
2 0 8  30.85  2.898  47
1 2 5  33.84  2.649  30
0 2 10  34.28  2.616  36
0 3 3  36.58  2.457  37
0 2 13  40.23  2.242  30
2 2 0  41.56  2.173  66

***

Structure and simulated X-ray powder pattern of Al3Ag2 (a cell relaxed with GGA-PBE; Cu Kα X-rays).
No peak broadening, texture or thermal motion is included.

Crystal structure
abc: 5.1071 5.1766 7.2873
angles: 69.69 71.16 79.31
Space group P-1 (No. 2)
Inequivalent atoms, fractional coordinates:
Al  0.0430  0.2541  0.1527
Al  0.3585  0.7466  0.0457
Al  0.4406  0.2532  0.3533
Ag  0.1540  0.7558  0.4467
Ag  0.2520  0.2464  0.7613

Largest 10 diffraction maxima, low angle first, 10 to 90 degrees two-theta:
index  2θ (°)  d (Å)  Rel. int.
0 0 1  13.50  6.560  63
0 1 1  19.14  4.637  66
0 1 -1  26.04  3.422  37
2 1 1  36.97  2.431  100
0 2 0  37.17  2.419  100
-1 1 2  38.46  2.341  89
1 0 3  40.23  2.242  79
2 -1 1  44.04  2.056  60
1 2 3  44.27  2.046  58
1 1 -2  44.97  2.016  56